[1]
This entry pairs a crystal structure of SrCd2Te with its simulated powder diffraction line list. Radiation: a wavelength of 1.5418 Å. Structure: a structure optimized by DFT (GGA-PBE).

Principal peaks in the range 10 to 90 degrees two-theta, low angle first:
2theta, d/Å, I (rel.)
15.4, 5.760, 14
29.0, 3.076, 100
33.0, 2.714, 27
35.5, 2.530, 82
46.5, 1.954, 27
47.3, 1.920, 9
59.8, 1.546, 25
60.5, 1.529, 26
63.7, 1.461, 14
74.6, 1.272, 9
82.4, 1.170, 10
83.1, 1.162, 11

Structural model:
a b c (Å): 5.0597 5.0597 17.2805
angles (deg): 90.00 90.00 120.00
Space group R3m (No. 160, hexagonal axes)
Unique sites:
Sr 0.0000 0.0000 0.0000 (multiplicity 3)
Cd 0.0000 0.0000 0.2279 (multiplicity 3)
Cd 0.0000 0.0000 0.5382 (multiplicity 3)
Te 0.0000 0.0000 0.7704 (multiplicity 3)

[2]
This entry pairs a crystal structure of Ba4Nb3InO12 with its simulated powder diffraction line list. Radiation: a wavelength of 1.5418 Å. Structure: a structure optimized by DFT (GGA-PBE).

Principal peaks in the range 10 to 90 degrees two-theta, low angle first:
2theta, d/Å, I (rel.)
30.2, 2.960, 100
37.2, 2.417, 5
43.2, 2.093, 31
53.6, 1.709, 40
62.8, 1.480, 19
71.2, 1.324, 17
75.3, 1.262, 1
79.3, 1.208, 6
87.1, 1.119, 21

Structural model:
a b c (Å): 8.3724 8.3724 8.3724
angles (deg): 90.00 90.00 90.00
Space group Im-3m (No. 229)
Unique sites:
Ba 0.2500 0.2500 0.2500 (multiplicity 8)
Nb 0.0000 0.0000 0.5000 (multiplicity 6)
In 0.0000 0.0000 0.0000 (multiplicity 2)
O 0.0000 0.0000 0.2591 (multiplicity 12)
O 0.0000 0.2500 0.5000 (multiplicity 12)

[3]
This entry pairs a crystal structure of UO4 with its simulated powder diffraction line list. Radiation: a wavelength of 1.5418 Å. Structure: a structure optimized by DFT (GGA-PBE).

Principal peaks in the range 10 to 90 degrees two-theta, low angle first:
2theta, d/Å, I (rel.)
17.6, 5.042, 45
22.8, 3.893, 100
29.7, 3.009, 12
30.2, 2.961, 11
34.1, 2.629, 24
35.6, 2.521, 9
42.9, 2.110, 14
46.7, 1.947, 15
48.8, 1.867, 14
49.4, 1.844, 13
50.1, 1.820, 14
56.9, 1.618, 9

Structural model:
a b c (Å): 5.9211 6.0178 10.0841
angles (deg): 90.00 90.00 90.00
Space group Pbca (No. 61)
Unique sites:
U 0.0000 0.0000 0.0000 (multiplicity 4)
O 0.0235 0.0009 0.1813 (multiplicity 8)
O 0.2501 0.2500 0.4857 (multiplicity 8)

[4]
This entry pairs a crystal structure of La5Pr3Er3 with its simulated powder diffraction line list. Radiation: a wavelength of 1.5418 Å. Structure: a structure optimized by DFT (GGA-PBE).

Principal peaks in the range 10 to 90 degrees two-theta, low angle first:
2theta, d/Å, I (rel.)
23.5, 3.778, 37
25.5, 3.488, 29
26.8, 3.332, 75
27.1, 3.294, 22
29.9, 2.985, 83
31.0, 2.885, 36
32.3, 2.772, 100
35.0, 2.563, 72
40.6, 2.223, 84
47.4, 1.916, 46
61.7, 1.503, 41
63.0, 1.476, 29

Structural model:
a b c (Å): 11.5416 11.5416 3.4884
angles (deg): 90.00 90.00 120.00
Space group P-62m (No. 189)
Unique sites:
La 0.0000 0.6645 0.0000 (multiplicity 3)
La 0.3333 0.6667 0.0000 (multiplicity 2)
Pr 0.0000 0.4012 0.5000 (multiplicity 3)
Er 0.0000 0.1583 0.0000 (multiplicity 3)